Starting from a DFT-relaxed cell (GGA-PBE, Alexandria), the X-ray powder pattern of SmTm12Co6 was calculated for Cu Kα (weighted mean of Kα1 and Kα2).
No peak broadening, texture or thermal motion is included.

Structural model:
```
data_SmTm12Co6
_chemical_formula_sum 'Sm2 Tm24 Co12'
_space_group_name_H-M_alt 'I m -3'
_space_group_IT_number 204
_space_group_name_Hall '-I 2 2 3'
_cell_length_a 9.6406
_cell_length_b 9.6406
_cell_length_c 9.6406
_cell_angle_alpha 90.00
_cell_angle_beta 90.00
_cell_angle_gamma 90.00
loop_
_atom_site_label
_atom_site_fract_x
_atom_site_fract_y
_atom_site_fract_z
_atom_site_occupancy
Sm1 0.0000 0.0000 0.0000 1
Tm1 0.0000 0.1934 0.3087 1
Co1 0.0000 0.3859 0.5000 1
```

Main lines, by angle (2θ = 5–70°):
2θ 26.14, I 7, (2 2 0)
2θ 29.30, I 54, (3 1 0)
2θ 32.16, I 50, (2 2 2)
2θ 34.82, I 100, (3 2 1)
2θ 37.31, I 18, (4 0 0)
2θ 48.13, I 25, (5 1 0)
2θ 55.59, I 37, (5 0 3)
2θ 57.34, I 13, (6 0 0)
2θ 59.07, I 40, (5 3 2)
2θ 68.87, I 19, (5 4 3)